Structure and computed powder diffractogram of AlFeBr2 (a GGA-PBE-relaxed structure; Cu Kα (λ = 1.5418 Å)).
Peak positions follow from Bragg's law for the DFT cell and can differ from measured ones.

Atomic structure:
abc: 3.315 6.377 9.621
angles: 90.00 90.00 90.00
Element x y z (fractional)
Al 0.000 0.000 0.000
Al 0.500 0.500 0.000
Fe 0.000 0.500 0.800
Fe 0.500 0.000 0.800
Br 0.000 0.000 0.613
Br 0.000 0.500 0.199
Br 0.500 0.000 0.199
Br 0.500 0.500 0.613

Top 8 peaks for 2θ from 10° to 80°, by angle:
2theta	d [Å]	I (rel.)
18.44	4.810	65
27.98	3.189	100
31.81	2.813	53
33.72	2.658	28
35.78	2.509	91
41.67	2.168	79
55.80	1.647	26
59.12	1.563	27



Structure and computed powder diffractogram of Pm8BiC4 (a GGA-PBE-relaxed structure; Cu Kα (λ = 1.5418 Å)).
Peak positions follow from Bragg's law for the DFT cell and can differ from measured ones.

Atomic structure:
abc: 9.182 9.182 12.211
angles: 129.03 129.03 23.30
Element x y z (fractional)
Pm 0.042 0.042 0.243
Pm 0.295 0.295 0.430
Pm 0.332 0.332 0.160
Pm 0.371 0.371 0.914
Pm 0.629 0.629 0.086
Pm 0.668 0.668 0.840
Pm 0.705 0.705 0.570
Pm 0.958 0.958 0.757
Bi 0.000 0.000 0.500
C 0.150 0.150 0.961
C 0.332 0.332 0.667
C 0.668 0.668 0.333
C 0.850 0.850 0.039

Top 8 peaks for 2θ from 10° to 80°, by angle:
2theta	d [Å]	I (rel.)
28.13	3.172	39
30.03	2.975	73
30.99	2.885	100
31.52	2.838	50
32.68	2.740	91
32.99	2.715	47
50.02	1.823	40
59.57	1.552	37



Structure and computed powder diffractogram of CsCeSiSe4 (a GGA-PBE-relaxed structure; Cu Kα (λ = 1.5418 Å)).
Peak positions follow from Bragg's law for the DFT cell and can differ from measured ones.

Atomic structure:
abc: 6.813 7.070 9.939
angles: 90.00 108.61 90.00
Element x y z (fractional)
Cs 0.236 0.250 0.436
Cs 0.764 0.750 0.564
Ce 0.268 0.250 0.953
Ce 0.732 0.750 0.047
Si 0.291 0.750 0.170
Si 0.709 0.250 0.830
Se 0.093 0.750 0.936
Se 0.096 0.750 0.317
Se 0.488 0.504 0.793
Se 0.488 0.996 0.793
Se 0.512 0.004 0.207
Se 0.512 0.496 0.207
Se 0.904 0.250 0.683
Se 0.907 0.250 0.064

Top 8 peaks for 2θ from 10° to 80°, by angle:
2theta	d [Å]	I (rel.)
18.61	4.768	65
26.75	3.332	78
28.08	3.177	100
28.79	3.101	80
29.64	3.014	98
31.65	2.827	86
32.03	2.794	91
37.74	2.384	73



Structure and computed powder diffractogram of CaP2SeO8 (a GGA-PBE-relaxed structure; Cu Kα (λ = 1.5418 Å)).
Peak positions follow from Bragg's law for the DFT cell and can differ from measured ones.

Atomic structure:
abc: 8.053 8.053 8.053
angles: 34.11 34.11 34.11
Element x y z (fractional)
Ca 0.000 0.000 0.000
P 0.248 0.248 0.248
P 0.752 0.752 0.752
Se 0.500 0.500 0.500
O 0.095 0.469 0.758
O 0.242 0.531 0.905
O 0.315 0.315 0.315
O 0.469 0.758 0.095
O 0.531 0.905 0.242
O 0.685 0.685 0.685
O 0.758 0.095 0.469
O 0.905 0.242 0.531

Top 8 peaks for 2θ from 10° to 80°, by angle:
2theta	d [Å]	I (rel.)
11.68	7.577	16
26.85	3.320	100
38.10	2.362	36
38.58	2.334	22
45.24	2.004	19
47.23	1.925	15
62.22	1.492	15
62.89	1.478	17



Structure and computed powder diffractogram of Ba2Mg9In3 (a GGA-PBE-relaxed structure; Cu Kα (λ = 1.5418 Å)).
Peak positions follow from Bragg's law for the DFT cell and can differ from measured ones.

Atomic structure:
abc: 9.004 9.004 11.874
angles: 111.97 111.97 59.74
Element x y z (fractional)
Ba 0.084 0.252 0.247
Ba 0.252 0.084 0.747
Ba 0.748 0.916 0.253
Ba 0.916 0.748 0.753
Mg 0.043 0.847 0.090
Mg 0.153 0.957 0.410
Mg 0.205 0.364 0.581
Mg 0.232 0.574 0.258
Mg 0.323 0.486 0.952
Mg 0.364 0.205 0.081
Mg 0.381 0.619 0.750
Mg 0.426 0.768 0.242
Mg 0.486 0.323 0.452
Mg 0.514 0.677 0.548
Mg 0.574 0.232 0.758
Mg 0.619 0.381 0.250
Mg 0.636 0.795 0.919
Mg 0.677 0.514 0.048
Mg 0.768 0.426 0.742
Mg 0.795 0.636 0.419
Mg 0.847 0.043 0.590
Mg 0.957 0.153 0.910
In 0.000 0.500 0.000
In 0.138 0.683 0.501
In 0.317 0.862 0.999
In 0.500 0.000 0.500
In 0.683 0.138 0.001
In 0.862 0.317 0.499

Top 8 peaks for 2θ from 10° to 80°, by angle:
2theta	d [Å]	I (rel.)
21.47	4.138	33
25.77	3.457	53
25.93	3.437	100
32.07	2.791	51
33.48	2.677	42
34.46	2.602	41
34.60	2.592	78
43.75	2.069	30



Structure and computed powder diffractogram of Na3Pa2Te6Au (a GGA-PBE-relaxed structure; Cu Kα (λ = 1.5418 Å)).
Peak positions follow from Bragg's law for the DFT cell and can differ from measured ones.

Atomic structure:
abc: 10.275 10.275 9.065
angles: 107.88 107.88 24.52
Element x y z (fractional)
Na 0.000 0.000 0.000
Na 0.340 0.340 0.682
Na 0.660 0.660 0.318
Pa 0.341 0.341 0.193
Pa 0.659 0.659 0.807
Te 0.173 0.173 0.062
Te 0.173 0.173 0.583
Te 0.497 0.497 0.273
Te 0.503 0.503 0.727
Te 0.827 0.827 0.417
Te 0.827 0.827 0.938
Au 0.000 0.000 0.500

Top 8 peaks for 2θ from 10° to 80°, by angle:
2theta	d [Å]	I (rel.)
11.49	7.704	82
23.99	3.709	31
28.08	3.177	52
28.45	3.137	100
39.03	2.308	43
41.39	2.182	19
41.75	2.164	34
50.77	1.798	21